Record 1
TiCrCuS4: calculated X-ray diffraction stick pattern (Cu Kα), based on a PBE-relaxed structure.

Largest 10 diffraction maxima, by intensity, 2θ from 10° to 90°:
| hkl | two_theta | I (rel.) |
| --- | --- | --- |
| 0 0 3 | 21.8 | 100 |
| 3 2 1 | 50.2 | 58 |
| 1 2 -5 | 51.3 | 52 |
| 1 2 2 | 29.9 | 46 |
| -1 2 1 | 28.7 | 38 |
| 2 0 -4 | 43.1 | 36 |
| 1 2 1 | 28.4 | 34 |
| 0 4 1 | 49.9 | 30 |
| 1 2 -2 | 34.5 | 26 |
| 2 0 3 | 34.6 | 26 |

Crystal structure
a = 6.2810 Å, b = 7.3038 Å, c = 12.3871 Å
α = 81.57°, β = 85.17°, γ = 89.89°
Space group P1 (No. 1)
Asymmetric unit:
Ti (0.0000, 0.0000, 0.0000)
Ti (0.0929, 0.1903, 0.2974)
Ti (0.4731, 0.7765, 0.0019)
Ti (0.8661, 0.3351, 0.7079)
Cr (0.3844, 0.5929, 0.7110)
Cr (0.6019, 0.4483, 0.2913)
Cr (0.6032, 0.9349, 0.2969)
Cr (0.8591, 0.8410, 0.7063)
Cu (0.1120, 0.6936, 0.3003)
Cu (0.3693, 0.0907, 0.7036)
Cu (0.4871, 0.2682, 0.9989)
Cu (0.9866, 0.5225, 0.0046)
S (0.0430, 0.1068, 0.6318)
S (0.0557, 0.6090, 0.6407)
S (0.1300, 0.2369, 0.1111)
S (0.1390, 0.7445, 0.1108)
S (0.3348, 0.0382, 0.8937)
S (0.3410, 0.5443, 0.8941)
S (0.4310, 0.1787, 0.3621)
S (0.4360, 0.6695, 0.3661)
S (0.5432, 0.3590, 0.6349)
S (0.5450, 0.8543, 0.6352)
S (0.6332, 0.4944, 0.1106)
S (0.6412, 0.9844, 0.1109)
S (0.8281, 0.7948, 0.8942)
S (0.8402, 0.2861, 0.8960)
S (0.9185, 0.4327, 0.3633)
S (0.9214, 0.9206, 0.3707)



Record 2
TiCrCuS4: calculated X-ray diffraction stick pattern (Cu Kα), based on a PBE-relaxed structure.

Largest 10 diffraction maxima, by intensity, 2θ from 10° to 90°:
| hkl | two_theta | I (rel.) |
| --- | --- | --- |
| 1 0 3 | 34.0 | 100 |
| 1 1 3 | 35.0 | 93 |
| 0 3 2 | 28.1 | 80 |
| 1 4 1 | 42.6 | 65 |
| 1 4 0 | 42.0 | 60 |
| 1 3 3 | 42.1 | 59 |
| 1 3 1 | 36.5 | 58 |
| 2 0 0 | 53.7 | 57 |
| 1 1 2 | 31.0 | 54 |
| 0 2 2 | 21.5 | 47 |

Crystal structure
a = 3.4120 Å, b = 11.1003 Å, c = 12.4462 Å
α = 90.00°, β = 90.00°, γ = 90.00°
Space group Pmn2_1 (No. 31)
Asymmetric unit:
Ti (0.0000, 0.1638, 0.0000)
Ti (0.0000, 0.6992, 0.1896)
Cr (0.0000, 0.1978, 0.4565)
Cr (0.0000, 0.6634, 0.6644)
Cu (0.0000, 0.4733, 0.4070)
Cu (0.0000, 0.9815, 0.2559)
S (0.0000, 0.1495, 0.6433)
S (0.0000, 0.3110, 0.2903)
S (0.0000, 0.3721, 0.0289)
S (0.0000, 0.4462, 0.7380)
S (0.0000, 0.6531, 0.0042)
S (0.0000, 0.8112, 0.3645)
S (0.0000, 0.8740, 0.6344)
S (0.0000, 0.9427, 0.9133)



Record 3
TiCrCuS4: calculated X-ray diffraction stick pattern (Cu Kα), based on a PBE-relaxed structure.

Largest 10 diffraction maxima, by intensity, 2θ from 10° to 90°:
| hkl | two_theta | I (rel.) |
| --- | --- | --- |
| 2 4 1 | 42.4 | 100 |
| 1 1 1 | 21.2 | 65 |
| 2 0 3 | 54.1 | 61 |
| 2 3 1 | 37.5 | 61 |
| 0 4 2 | 42.6 | 56 |
| 0 3 2 | 37.7 | 46 |
| 2 2 1 | 33.6 | 41 |
| 0 2 0 | 14.4 | 40 |
| 4 0 0 | 53.5 | 34 |
| 1 3 1 | 29.6 | 30 |

Crystal structure
a = 6.8478 Å, b = 12.3309 Å, c = 5.8544 Å
α = 90.00°, β = 90.00°, γ = 90.00°
Space group Pmmn (No. 59, origin choice 2)
Asymmetric unit:
Ti (0.0000, 0.0000, 0.0000)
Cr (0.2500, 0.0040, 0.4953)
Cu (0.2500, 0.2500, 0.8566)
Cu (0.2500, 0.7500, 0.5328)
S (0.0011, 0.1153, 0.6613)
S (0.2500, 0.1149, 0.1605)
S (0.2500, 0.6118, 0.8225)



Record 4
TiCrCuS4: calculated X-ray diffraction stick pattern (Cu Kα), based on a PBE-relaxed structure.

Largest 10 diffraction maxima, by intensity, 2θ from 10° to 90°:
| hkl | two_theta | I (rel.) |
| --- | --- | --- |
| 0 2 3 | 27.3 | 100 |
| 2 -3 1 | 35.9 | 67 |
| -2 3 1 | 36.0 | 66 |
| 4 0 0 | 53.1 | 55 |
| 2 3 2 | 38.2 | 55 |
| 2 3 0 | 35.1 | 51 |
| 2 3 -2 | 38.5 | 51 |
| 0 6 -3 | 53.5 | 50 |
| 0 2 4 | 33.9 | 36 |
| 0 2 -4 | 33.9 | 34 |

Crystal structure
a = 6.8993 Å, b = 11.4140 Å, c = 11.9361 Å
α = 89.82°, β = 89.16°, γ = 89.97°
Space group P1 (No. 1)
Asymmetric unit:
Ti (0.0000, 0.0000, 0.0000)
Ti (0.0049, 0.3240, 0.5029)
Ti (0.2817, 0.7825, 0.8535)
Ti (0.2914, 0.2842, 0.1979)
Ti (0.4973, 0.0436, 0.3548)
Ti (0.5147, 0.2791, 0.8519)
Ti (0.7813, 0.8219, 0.5004)
Ti (0.7956, 0.5029, 0.0039)
Cr (0.0281, 0.5540, 0.7119)
Cr (0.0338, 0.7697, 0.2157)
Cr (0.2613, 0.5365, 0.3545)
Cr (0.2812, 0.0706, 0.7312)
Cr (0.5212, 0.5712, 0.7333)
Cr (0.5294, 0.7557, 0.2298)
Cr (0.7659, 0.2665, 0.2135)
Cr (0.7751, 0.0581, 0.7146)
Cu (0.0206, 0.2921, 0.8679)
Cu (0.0258, 0.0358, 0.3639)
Cu (0.2694, 0.5302, 0.0000)
Cu (0.2793, 0.8058, 0.4990)
Cu (0.5191, 0.0204, 0.9994)
Cu (0.5243, 0.3007, 0.4989)
Cu (0.7813, 0.5355, 0.3600)
Cu (0.7842, 0.7899, 0.8644)
S (0.0167, 0.6434, 0.8952)
S (0.0182, 0.6778, 0.3955)
S (0.0229, 0.1296, 0.1642)
S (0.0244, 0.1974, 0.6652)
S (0.0274, 0.3877, 0.3044)
S (0.0276, 0.9426, 0.5409)
S (0.0360, 0.9391, 0.8007)
S (0.0443, 0.3780, 0.0482)
S (0.2462, 0.8715, 0.0440)
S (0.2595, 0.4480, 0.5419)
S (0.2651, 0.1808, 0.3982)
S (0.2691, 0.6958, 0.6698)
S (0.2705, 0.1485, 0.9125)
S (0.2749, 0.6287, 0.1750)
S (0.2860, 0.4348, 0.8073)
S (0.2870, 0.8867, 0.3023)
S (0.5111, 0.3915, 0.3139)
S (0.5120, 0.9356, 0.8064)
S (0.5138, 0.6697, 0.4059)
S (0.5257, 0.1268, 0.1673)
S (0.5268, 0.6510, 0.9131)
S (0.5284, 0.9507, 0.5424)
S (0.5311, 0.1975, 0.6678)
S (0.5328, 0.3717, 0.0483)
S (0.7498, 0.8800, 0.0413)
S (0.7587, 0.4369, 0.8060)
S (0.7600, 0.4474, 0.5439)
S (0.7649, 0.8877, 0.3026)
S (0.7756, 0.1761, 0.3949)
S (0.7776, 0.6979, 0.6679)
S (0.7820, 0.1493, 0.8950)
S (0.7836, 0.6270, 0.1642)



Record 5
TiCrCuS4: calculated X-ray diffraction stick pattern (Cu Kα), based on a PBE-relaxed structure.

Largest 10 diffraction maxima, by intensity, 2θ from 10° to 90°:
| hkl | two_theta | I (rel.) |
| --- | --- | --- |
| 1 1 -4 | 43.6 | 100 |
| 1 1 -2 | 33.8 | 62 |
| 1 1 4 | 43.9 | 62 |
| 3 1 0 | 53.6 | 53 |
| 1 0 1 | 16.9 | 44 |
| 1 1 0 | 30.0 | 37 |
| 2 0 4 | 44.2 | 35 |
| 0 2 0 | 53.2 | 30 |
| 2 0 2 | 34.3 | 26 |
| 0 1 1 | 27.0 | 24 |

Crystal structure
a = 5.9147 Å, b = 3.4463 Å, c = 11.5122 Å
α = 90.00°, β = 90.75°, γ = 90.00°
Space group P2/m (No. 10)
Asymmetric unit:
Ti (0.0307, 0.0000, 0.2447)
Cr (0.4805, 0.5000, 0.2565)
Cu (0.0000, 0.0000, 0.5000)
Cu (0.5000, 0.5000, 0.0000)
S (0.1661, 0.5000, 0.6355)
S (0.1692, 0.5000, 0.1186)
S (0.3352, 0.0000, 0.3777)
S (0.3456, 0.0000, 0.8601)



Record 6
TiCrCuS4: calculated X-ray diffraction stick pattern (Cu Kα), based on a PBE-relaxed structure.

Largest 10 diffraction maxima, by intensity, 2θ from 10° to 90°:
| hkl | two_theta | I (rel.) |
| --- | --- | --- |
| 2 2 4 | 52.0 | 100 |
| 1 0 3 | 29.9 | 85 |
| 0 0 4 | 36.1 | 69 |
| 1 2 1 | 29.6 | 60 |
| 1 1 2 | 25.3 | 45 |
| 0 1 3 | 29.8 | 26 |
| 0 4 0 | 51.3 | 26 |
| 3 2 1 | 47.6 | 24 |
| 4 0 0 | 52.5 | 24 |
| 1 0 5 | 47.6 | 21 |

Crystal structure
a = 6.9681 Å, b = 7.1188 Å, c = 9.9340 Å
α = 90.00°, β = 90.00°, γ = 90.00°
Space group Imma (No. 74)
Asymmetric unit:
Ti (0.2500, 0.2500, 0.2500)
Cr (0.0000, 0.0000, 0.0000)
Cu (0.0000, 0.2500, 0.6255)
S (0.0000, 0.0102, 0.2429)
S (0.2330, 0.2500, 0.0056)



Record 7
ZrCrCuS4: calculated X-ray diffraction stick pattern (Cu Kα), based on a PBE-relaxed structure.

Largest 10 diffraction maxima, by intensity, 2θ from 10° to 90°:
| hkl | two_theta | I (rel.) |
| --- | --- | --- |
| 2 4 1 | 41.3 | 100 |
| 0 2 0 | 14.3 | 68 |
| 2 2 1 | 32.5 | 64 |
| 0 4 2 | 41.5 | 58 |
| 1 1 1 | 20.5 | 57 |
| 2 0 3 | 51.9 | 52 |
| 2 2 0 | 28.9 | 52 |
| 2 3 1 | 36.4 | 35 |
| 4 0 0 | 51.4 | 30 |
| 0 2 2 | 32.8 | 29 |

Crystal structure
a = 7.1163 Å, b = 12.4159 Å, c = 6.0893 Å
α = 90.00°, β = 90.00°, γ = 90.00°
Space group Pmmn (No. 59, origin choice 2)
Asymmetric unit:
Zr (0.0000, 0.0000, 0.0000)
Cr (0.2500, 0.0067, 0.4960)
Cu (0.2500, 0.2500, 0.8614)
Cu (0.2500, 0.7500, 0.5299)
S (0.0009, 0.6161, 0.3505)
S (0.2500, 0.1204, 0.1699)
S (0.2500, 0.6138, 0.8085)



Record 8
ZrCrCuS4: calculated X-ray diffraction stick pattern (Cu Kα), based on a PBE-relaxed structure.

Largest 10 diffraction maxima, by intensity, 2θ from 10° to 90°:
| hkl | two_theta | I (rel.) |
| --- | --- | --- |
| 0 0 3 | 21.7 | 100 |
| 1 2 -2 | 29.0 | 87 |
| 2 0 -3 | 33.7 | 78 |
| 1 -2 1 | 27.8 | 59 |
| 3 2 -1 | 48.3 | 58 |
| 2 0 0 | 27.4 | 50 |
| 1 -2 6 | 50.6 | 46 |
| 0 4 -1 | 48.4 | 42 |
| 1 2 -5 | 42.3 | 32 |
| 3 2 2 | 53.5 | 30 |

Crystal structure
a = 6.5397 Å, b = 7.5240 Å, c = 12.4525 Å
α = 98.67°, β = 95.00°, γ = 90.02°
Space group P1 (No. 1)
Asymmetric unit:
Zr (0.0000, 0.0000, 0.0000)
Zr (0.0900, 0.1781, 0.6950)
Zr (0.4924, 0.7242, 0.9939)
Zr (0.7190, 0.5868, 0.3973)
Cr (0.2230, 0.3296, 0.3985)
Cr (0.2245, 0.8497, 0.4014)
Cr (0.4834, 0.2442, 0.9905)
Cr (0.6158, 0.4077, 0.6967)
Cu (0.1118, 0.6572, 0.6975)
Cu (0.6017, 0.9172, 0.6906)
Cu (0.7327, 0.0898, 0.4000)
Cu (0.9860, 0.4854, 0.9921)
S (0.0495, 0.0700, 0.3356)
S (0.0698, 0.5754, 0.3324)
S (0.1619, 0.7449, 0.0747)
S (0.1809, 0.2764, 0.0726)
S (0.2561, 0.8800, 0.5819)
S (0.2765, 0.3915, 0.5847)
S (0.4616, 0.6806, 0.7947)
S (0.4719, 0.1956, 0.8031)
S (0.5341, 0.8378, 0.3292)
S (0.5360, 0.3061, 0.3282)
S (0.6587, 0.0180, 0.0740)
S (0.6822, 0.4934, 0.0715)
S (0.7442, 0.1436, 0.5891)
S (0.7569, 0.6335, 0.5952)
S (0.9471, 0.4467, 0.8046)
S (0.9646, 0.9290, 0.8026)



Record 9
ZrCrCuS4: calculated X-ray diffraction stick pattern (Cu Kα), based on a PBE-relaxed structure.

Largest 10 diffraction maxima, by intensity, 2θ from 10° to 90°:
| hkl | two_theta | I (rel.) |
| --- | --- | --- |
| 0 2 0 | 24.8 | 100 |
| 1 0 1 | 14.6 | 46 |
| 1 1 3 | 28.0 | 27 |
| 1 2 3 | 35.5 | 26 |
| 1 2 5 | 46.3 | 22 |
| 2 2 4 | 46.7 | 22 |
| 0 4 0 | 50.8 | 18 |
| 3 1 1 | 41.6 | 18 |
| 2 1 0 | 28.6 | 18 |
| 2 0 4 | 38.9 | 17 |

Crystal structure
a = 6.9417 Å, b = 7.1964 Å, c = 12.4106 Å
α = 90.00°, β = 90.00°, γ = 90.00°
Space group Pnma (No. 62)
Asymmetric unit:
Zr (0.0740, 0.2500, 0.0234)
Cr (0.0039, 0.7500, 0.2295)
Cu (0.1767, 0.2500, 0.3794)
S (0.1261, 0.0019, 0.8720)
S (0.1332, 0.7500, 0.6079)
S (0.2129, 0.2500, 0.6350)